Starting from a structure optimized by DFT (GGA+U), the powder diffractogram of SrLaTiMnO6 was calculated for a wavelength of 1.5418 Å.

Structure:
```
10
Lattice="2.7835 1.6070 4.4510 -2.7835 1.6070 4.4510 0.0000 -3.2141 4.4510" Properties=species:S:1:pos:R:3 pbc="T T T"
Sr 0.0000 0.0000 0.0000
La 0.0000 0.0000 6.7304
Ti 0.0000 0.0000 3.3627
Mn 0.0000 0.0000 10.0204
O -1.2650 -1.0104 4.4590
O -2.4633 0.0070 6.6820
O -0.2425 1.6007 4.4590
O 1.2256 -2.1367 6.6820
O 1.5075 -0.5904 4.4590
O 1.2377 2.1297 6.6820
```

Largest 10 diffraction maxima, by angle, 10 to 80 degrees two-theta:
- 2θ = 22.8°, intensity 21
- 2θ = 32.2°, intensity 100
- 2θ = 32.6°, intensity 100
- 2θ = 39.8°, intensity 28
- 2θ = 46.5°, intensity 68
- 2θ = 57.3°, intensity 22
- 2θ = 57.6°, intensity 40
- 2θ = 58.5°, intensity 18
- 2θ = 67.3°, intensity 18
- 2θ = 68.4°, intensity 19